No. 1
The following is a simulated powder XRD pattern of PuCd2InHg. It was derived from DFT lattice parameters and positions (PBE), using Cu Ka.
Neutral-atom scattering factors, no anomalous dispersion.

Main lines, by angle (2θ from 5° to 70°):
two_theta, d/Å, I (rel.)
13.6, 6.500, 54
33.2, 2.699, 55
33.5, 2.673, 99
33.8, 2.654, 96
36.3, 2.472, 100
36.6, 2.458, 41

a = 3.0934 Å, b = 20.5642 Å, c = 8.3897 Å
α = 90.00°, β = 90.00°, γ = 90.00°
Space group Cmcm (No. 63)
Symmetry-distinct sites (fractional):
Pu1 0.0000 0.0980 0.2500
Cd1 0.0000 0.3464 0.0690
In1 0.0000 0.5000 0.0000
Hg1 0.0000 0.2636 0.7500

***

No. 2
The following is a simulated powder XRD pattern of Rb2Cd3InHg4. It was derived from DFT lattice parameters and positions (PBE), using Cu Ka.
Neutral-atom scattering factors, no anomalous dispersion.

Main lines, by angle (2θ from 5° to 70°):
two_theta, d/Å, I (rel.)
28.2, 3.164, 51
28.7, 3.113, 100
34.9, 2.571, 88
38.8, 2.319, 75
50.2, 1.818, 31
65.2, 1.431, 33

a = 5.1417 Å, b = 5.1417 Å, c = 12.0449 Å
α = 90.00°, β = 90.00°, γ = 90.00°
Space group P-4m2 (No. 115)
Symmetry-distinct sites (fractional):
Rb1 0.0000 0.5000 0.2470
Cd1 0.0000 0.5000 0.8719
Cd2 0.5000 0.5000 0.5000
In1 0.0000 0.0000 0.5000
Hg1 0.0000 0.0000 0.0000
Hg2 0.0000 0.5000 0.6297
Hg3 0.5000 0.5000 0.0000